Calculated powder X-ray diffraction pattern of PtC4N2Cl6 for Cu Kα (weighted mean of Kα1 and Kα2), from a PBE-relaxed structure.

Crystal structure
a = 6.7324 Å, b = 8.2993 Å, c = 11.3065 Å
α = 90.00°, β = 90.00°, γ = 90.00°
Space group Immm (No. 71)
Asymmetric unit:
1 Pt 0.0000 0.0000 0.0000 x2
2 C 0.0000 0.2730 0.3890 x8
3 N 0.0000 0.2725 0.5000 x4
4 Cl 0.0000 0.2840 0.0000 x4
5 Cl 0.2422 0.0000 0.1496 x8

Largest 8 diffraction maxima, by angle, 2θ = 15–90°:
15.32°, rel. 100
15.68°, rel. 82
16.96°, rel. 57
23.17°, rel. 53
26.44°, rel. 63
27.12°, rel. 41
30.92°, rel. 55
37.42°, rel. 53